Record 1
The following is a computed X-ray powder pattern of Tm2UTl2Se6. It was derived from a cell relaxed with PBE, using CuKα.
Intensities are scaled so that the largest is 100.

Structural model:
Cell lengths 7.125, 12.347, 8.208 Å; angles 90.00, 106.96, 90.00 degrees
Space group C2/m (No. 12)
Asymmetric unit:
Tm (0.000, 0.167, 0.000) x4
U (0.000, 0.500, 0.000) x2
Tl (0.000, 0.333, 0.500) x4
Se (0.233, 0.334, 0.200) x8
Se (0.235, 0.000, 0.200) x4

Main lines, by intensity (2θ from 10° to 90°):
2θ = 29.31°, I = 100; 2θ = 29.26°, I = 53; 2θ = 44.02°, I = 53; 2θ = 39.68°, I = 39; 2θ = 26.13°, I = 24; 2θ = 71.92°, I = 23; 2θ = 11.27°, I = 23; 2θ = 53.72°, I = 20; 2θ = 39.77°, I = 19; 2θ = 60.76°, I = 17; 2θ = 14.85°, I = 17; 2θ = 65.71°, I = 16


Record 2
The following is a computed X-ray powder pattern of Dy2YSn2. It was derived from a cell relaxed with PBE, using CuKα.
Intensities are scaled so that the largest is 100.

Structural model:
Cell lengths 12.618, 3.981, 6.126 Å; angles 90.00, 102.40, 90.00 degrees
Space group C2/m (No. 12)
Asymmetric unit:
Dy (0.136, 0.000, 0.080) x4
Y (0.000, 0.500, 0.500) x2
Sn (0.199, 0.000, 0.627) x4

Main lines, by intensity (2θ from 10° to 90°):
2θ = 31.29°, I = 100; 2θ = 37.06°, I = 57; 2θ = 30.28°, I = 41; 2θ = 35.52°, I = 33; 2θ = 28.71°, I = 30; 2θ = 39.60°, I = 29; 2θ = 45.57°, I = 25; 2θ = 23.49°, I = 25; 2θ = 14.37°, I = 21; 2θ = 62.62°, I = 19; 2θ = 48.26°, I = 17; 2θ = 70.90°, I = 16


Record 3
The following is a computed X-ray powder pattern of Ca3CeHg12. It was derived from a cell relaxed with PBE, using CuKα.
Intensities are scaled so that the largest is 100.

Structural model:
Cell lengths 4.724, 4.724, 18.783 Å; angles 90.00, 90.00, 90.00 degrees
Space group P4/mmm (No. 123)
Asymmetric unit:
Ca (0.000, 0.000, 0.000) x1
Ca (0.000, 0.000, 0.248) x2
Ce (0.000, 0.000, 0.500) x1
Hg (0.000, 0.500, 0.125) x4
Hg (0.000, 0.500, 0.375) x4
Hg (0.500, 0.500, 0.000) x1
Hg (0.500, 0.500, 0.250) x2
Hg (0.500, 0.500, 0.500) x1

Main lines, by intensity (2θ from 10° to 90°):
2θ = 32.91°, I = 100; 2θ = 38.10°, I = 34; 2θ = 65.58°, I = 28; 2θ = 55.16°, I = 23; 2θ = 38.34°, I = 17; 2θ = 65.90°, I = 14; 2θ = 69.01°, I = 12; 2θ = 54.98°, I = 12; 2θ = 26.74°, I = 10; 2θ = 18.79°, I = 7; 2θ = 42.83°, I = 4; 2θ = 81.51°, I = 4


Record 4
The following is a computed X-ray powder pattern of Ce4SnOs2. It was derived from a cell relaxed with PBE, using CuKα.
Intensities are scaled so that the largest is 100.

Structural model:
Cell lengths 8.489, 15.036, 6.854 Å; angles 90.00, 126.50, 90.00 degrees
Space group Cc (No. 9)
Asymmetric unit:
Ce (0.000, 0.021, 0.000) x4
Ce (0.002, 0.418, 0.328) x4
Ce (0.072, 0.218, 0.644) x4
Ce (0.260, 0.218, 0.293) x4
Sn (0.168, 0.390, 0.962) x4
Os (0.300, 0.089, 0.001) x4
Os (0.390, 0.336, 0.686) x4

Main lines, by intensity (2θ from 10° to 90°):
2θ = 31.76°, I = 100; 2θ = 36.14°, I = 76; 2θ = 32.54°, I = 66; 2θ = 28.75°, I = 57; 2θ = 33.00°, I = 52; 2θ = 33.48°, I = 44; 2θ = 32.25°, I = 42; 2θ = 34.68°, I = 42; 2θ = 40.33°, I = 40; 2θ = 43.15°, I = 32; 2θ = 19.98°, I = 28; 2θ = 44.89°, I = 25


Record 5
The following is a computed X-ray powder pattern of Sr5RhBr5. It was derived from a cell relaxed with PBE, using CuKα.
Intensities are scaled so that the largest is 100.

Structural model:
Cell lengths 15.144, 6.187, 9.091 Å; angles 90.00, 107.31, 90.00 degrees
Space group C2/m (No. 12)
Asymmetric unit:
Sr (0.000, 0.000, 0.000) x2
Sr (0.135, 0.500, 0.841) x4
Sr (0.145, 0.500, 0.305) x4
Rh (0.000, 0.500, 0.000) x2
Br (0.000, 0.500, 0.500) x2
Br (0.190, 0.000, 0.853) x4
Br (0.211, 0.000, 0.347) x4

Main lines, by intensity (2θ from 10° to 90°):
2θ = 26.96°, I = 100; 2θ = 39.91°, I = 69; 2θ = 28.86°, I = 55; 2θ = 34.87°, I = 39; 2θ = 15.58°, I = 27; 2θ = 49.78°, I = 21; 2θ = 39.66°, I = 21; 2θ = 46.35°, I = 17; 2θ = 10.19°, I = 16; 2θ = 66.77°, I = 15; 2θ = 34.24°, I = 11; 2θ = 63.77°, I = 10


Record 6
The following is a computed X-ray powder pattern of Ce4TcPCl2. It was derived from a cell relaxed with PBE, using CuKα.
Intensities are scaled so that the largest is 100.

Structural model:
Cell lengths 7.155, 4.001, 7.219 Å; angles 90.00, 107.53, 90.00 degrees
Space group P2/m (No. 10)
Asymmetric unit:
Ce (0.236, 0.000, 0.224) x2
Ce (0.248, 0.500, 0.778) x2
Tc (0.000, 0.500, 0.000) x1
P (0.500, 0.000, 0.000) x1
Cl (0.000, 0.000, 0.500) x1
Cl (0.500, 0.500, 0.500) x1

Main lines, by intensity (2θ from 10° to 90°):
2θ = 30.70°, I = 100; 2θ = 30.85°, I = 48; 2θ = 44.23°, I = 36; 2θ = 43.93°, I = 32; 2θ = 27.08°, I = 29; 2θ = 42.56°, I = 18; 2θ = 45.33°, I = 17; 2θ = 55.84°, I = 17; 2θ = 12.86°, I = 16; 2θ = 26.12°, I = 16; 2θ = 25.88°, I = 14; 2θ = 63.93°, I = 11


What did the third record say?
The following is a computed X-ray powder pattern of Ca3CeHg12. It was derived from a cell relaxed with PBE, using CuKα.
Intensities are scaled so that the largest is 100.

Structural model:
Cell lengths 4.724, 4.724, 18.783 Å; angles 90.00, 90.00, 90.00 degrees
Space group P4/mmm (No. 123)
Asymmetric unit:
Ca (0.000, 0.000, 0.000) x1
Ca (0.000, 0.000, 0.248) x2
Ce (0.000, 0.000, 0.500) x1
Hg (0.000, 0.500, 0.125) x4
Hg (0.000, 0.500, 0.375) x4
Hg (0.500, 0.500, 0.000) x1
Hg (0.500, 0.500, 0.250) x2
Hg (0.500, 0.500, 0.500) x1

Main lines, by intensity (2θ from 10° to 90°):
2θ = 32.91°, I = 100; 2θ = 38.10°, I = 34; 2θ = 65.58°, I = 28; 2θ = 55.16°, I = 23; 2θ = 38.34°, I = 17; 2θ = 65.90°, I = 14; 2θ = 69.01°, I = 12; 2θ = 54.98°, I = 12; 2θ = 26.74°, I = 10; 2θ = 18.79°, I = 7; 2θ = 42.83°, I = 4; 2θ = 81.51°, I = 4